Record 1
For Hf2Ti3Hg2, DFT lattice parameters and positions (PBE) gives the computed X-ray powder pattern in this record (copper Kα).
Peak positions follow from Bragg's law for the DFT cell and can differ from measured ones.

Most intense lines, 10° ≤ 2θ ≤ 90°, by angle:
two_theta  d/Å  I_rel
21.6  4.107  58
29.2  3.057  43
36.1  2.488  100
36.6  2.452  83
38.6  2.334  26
43.3  2.091  32
44.7  2.027  37
47.1  1.930  44
64.0  1.456  26
72.6  1.302  26

Structure:
```
data_Hf2Ti3Hg2
_space_group_name_H-M_alt 'P 1'
_space_group_IT_number 1
_cell_length_a 11.0352
_cell_length_b 11.0352
_cell_length_c 3.0568
_cell_angle_alpha 90.00
_cell_angle_beta 90.00
_cell_angle_gamma 158.15
loop_
_space_group_symop_operation_xyz
'x,y,z'
loop_
_atom_site_label
_atom_site_fract_x
_atom_site_fract_y
_atom_site_fract_z
_atom_site_occupancy
Hf1 0.2055 0.7945 0.0000 1
Hf2 0.7945 0.2055 0.0000 1
Ti1 0.3599 0.6401 0.5000 1
Ti2 0.5000 0.5000 0.5000 1
Ti3 0.6401 0.3599 0.5000 1
Hg1 0.0689 0.9311 0.0000 1
Hg2 0.9311 0.0689 0.0000 1
```



Record 2
For Hf3TlHg, DFT lattice parameters and positions (PBE) gives the computed X-ray powder pattern in this record (copper Kα).
Peak positions follow from Bragg's law for the DFT cell and can differ from measured ones.

Most intense lines, 10° ≤ 2θ ≤ 90°, by angle:
two_theta  d/Å  I_rel
30.3  2.948  11
31.6  2.827  18
34.4  2.609  69
35.3  2.542  100
35.7  2.514  27
36.5  2.460  20
38.1  2.362  24
38.4  2.342  16
41.7  2.164  26
49.0  1.860  11

Structure:
```
data_Hf3TlHg
_space_group_name_H-M_alt 'P 1'
_space_group_IT_number 1
_cell_length_a 6.1342
_cell_length_b 6.1342
_cell_length_c 14.3255
_cell_angle_alpha 91.65
_cell_angle_beta 91.65
_cell_angle_gamma 60.23
loop_
_space_group_symop_operation_xyz
'x,y,z'
loop_
_atom_site_label
_atom_site_fract_x
_atom_site_fract_y
_atom_site_fract_z
_atom_site_occupancy
Hf1 0.0712 0.8032 0.8485 1
Hf2 0.0779 0.3059 0.8015 1
Hf3 0.1650 0.4532 0.6147 1
Hf4 0.1968 0.9288 0.6515 1
Hf5 0.3059 0.0779 0.3015 1
Hf6 0.4532 0.1650 0.1147 1
Hf7 0.5468 0.8350 0.8853 1
Hf8 0.6941 0.9221 0.6985 1
Hf9 0.8032 0.0712 0.3485 1
Hf10 0.8350 0.5468 0.3853 1
Hf11 0.9221 0.6941 0.1985 1
Hf12 0.9288 0.1968 0.1515 1
Tl1 0.2613 0.6398 0.4374 1
Tl2 0.3602 0.7387 0.0626 1
Tl3 0.6398 0.2613 0.9374 1
Tl4 0.7387 0.3602 0.5626 1
Hg1 0.0000 0.5000 0.0000 1
Hg2 0.4606 0.5394 0.2500 1
Hg3 0.5000 0.0000 0.5000 1
Hg4 0.5394 0.4606 0.7500 1
```



Record 3
For YHf2HgW, DFT lattice parameters and positions (PBE) gives the computed X-ray powder pattern in this record (copper Kα).
Peak positions follow from Bragg's law for the DFT cell and can differ from measured ones.

Most intense lines, 10° ≤ 2θ ≤ 90°, by angle:
two_theta  d/Å  I_rel
30.2  2.956  100
34.0  2.639  30
35.6  2.523  54
50.0  1.824  41
51.2  1.784  19
58.5  1.578  16
60.6  1.528  29
62.9  1.478  21
81.4  1.182  13
82.5  1.169  10

Structure:
```
data_YHf2HgW
_space_group_name_H-M_alt 'P 1'
_space_group_IT_number 1
_cell_length_a 5.0465
_cell_length_b 5.0465
_cell_length_c 5.2771
_cell_angle_alpha 90.00
_cell_angle_beta 90.00
_cell_angle_gamma 90.00
loop_
_space_group_symop_operation_xyz
'x,y,z'
loop_
_atom_site_label
_atom_site_fract_x
_atom_site_fract_y
_atom_site_fract_z
_atom_site_occupancy
Y1 0.0000 0.0000 0.0000 1
Hf1 0.0000 0.5000 0.0000 1
Hf2 0.5000 0.0000 0.0000 1
Hg1 0.0000 0.0000 0.5000 1
W1 0.5000 0.5000 0.5000 1
```



Record 4
For Hf2Zn3Hg, DFT lattice parameters and positions (PBE) gives the computed X-ray powder pattern in this record (copper Kα).
Peak positions follow from Bragg's law for the DFT cell and can differ from measured ones.

Most intense lines, 10° ≤ 2θ ≤ 90°, by angle:
two_theta  d/Å  I_rel
21.2  4.182  13
26.8  3.331  44
36.3  2.478  100
38.2  2.357  54
43.6  2.077  25
43.7  2.072  42
55.3  1.661  12
59.3  1.558  30
73.0  1.296  29
77.8  1.228  13

Structure:
```
data_Hf2Zn3Hg
_space_group_name_H-M_alt 'P 1'
_space_group_IT_number 1
_cell_length_a 8.7773
_cell_length_b 8.7773
_cell_length_c 8.7773
_cell_angle_alpha 158.18
_cell_angle_beta 152.63
_cell_angle_gamma 35.27
loop_
_space_group_symop_operation_xyz
'x,y,z'
loop_
_atom_site_label
_atom_site_fract_x
_atom_site_fract_y
_atom_site_fract_z
_atom_site_occupancy
Hf1 0.0000 0.0000 0.0000 1
Hf2 0.7122 0.2122 0.5000 1
Zn1 0.1416 0.6416 0.5000 1
Zn2 0.2864 0.7864 0.5000 1
Zn3 0.5668 0.5668 0.0000 1
Hg1 0.4064 0.4064 0.0000 1
```